No. 1
The following is a calculated powder diffractogram of RbNa5Br6. It was derived from a crystal structure in Alexandria, relaxed with GGA-PBE, using Cu Kα (weighted mean of Kα1 and Kα2).
Neutral-atom scattering factors, no anomalous dispersion.

Cell and atoms:
abc: 7.894 7.894 14.590
angles: 90.00 90.00 120.00
Element x y z (fractional)
Rb 0.000 0.000 0.250
Rb 0.000 0.000 0.750
Na 0.000 0.405 0.250
Na 0.000 0.595 0.750
Na 0.333 0.667 0.000
Na 0.333 0.667 0.500
Na 0.405 0.000 0.250
Na 0.405 0.405 0.750
Na 0.595 0.000 0.750
Na 0.595 0.595 0.250
Na 0.667 0.333 0.000
Na 0.667 0.333 0.500
Br 0.000 0.345 0.617
Br 0.000 0.345 0.883
Br 0.000 0.655 0.117
Br 0.000 0.655 0.383
Br 0.345 0.000 0.617
Br 0.345 0.000 0.883
Br 0.345 0.345 0.117
Br 0.345 0.345 0.383
Br 0.655 0.000 0.117
Br 0.655 0.000 0.383
Br 0.655 0.655 0.617
Br 0.655 0.655 0.883

Main lines, by angle (10 to 80 degrees two-theta):
two_theta  I (rel.)
17.8  21
23.3  62
29.1  100
33.5  53
38.4  21
39.5  63
47.0  17
49.5  16
49.9  19
65.6  23

***

No. 2
The following is a calculated powder diffractogram of Rb2NaBr7. It was derived from a crystal structure in Alexandria, relaxed with GGA-PBE, using Cu Kα (weighted mean of Kα1 and Kα2).
Neutral-atom scattering factors, no anomalous dispersion.

Cell and atoms:
abc: 8.047 8.047 8.047
angles: 117.71 117.71 94.01
Element x y z (fractional)
Rb 0.250 0.750 0.500
Rb 0.750 0.250 0.500
Na 0.000 0.000 0.000
Br 0.241 0.241 0.482
Br 0.241 0.759 0.000
Br 0.270 0.270 0.000
Br 0.500 0.500 0.000
Br 0.730 0.730 0.000
Br 0.759 0.241 0.000
Br 0.759 0.759 0.518

Main lines, by angle (10 to 80 degrees two-theta):
two_theta  I (rel.)
26.9  100
30.4  70
32.6  28
43.5  25
45.2  43
51.9  30
54.8  11
55.4  23
71.7  11
73.0  10